No. 1
The following is a theoretical PXRD pattern of LiPrTe3. It was derived from a PBE-relaxed structure, using copper Kα.
Neutral-atom scattering factors, no anomalous dispersion.

Atomic structure:
Cell: 13.5986 6.5931 6.2923 Å, 90.00 90.00 90.00°
Space group Pbcm (No. 57)
Unique sites:
Li1 0.0811 0.2500 0.0000
Pr1 0.3143 0.5036 0.2500
Te1 0.0791 0.6068 0.2500
Te2 0.2484 0.0287 0.2500
Te3 0.4985 0.7500 0.0000

Top 10 peaks for 2θ = 10–90°, in order of rising 2θ:
| d_spacing | 2θ/deg | I_rel | hkl |
| --- | --- | --- | --- |
| 3.211 | 27.8 | 59.3 | 3 1 1 |
| 3.146 | 28.4 | 29.3 | 0 0 2 |
| 3.065 | 29.1 | 24.4 | 1 0 2 |
| 2.966 | 30.1 | 78.0 | 2 2 0 |
| 2.855 | 31.3 | 66.9 | 2 0 2 |
| 2.722 | 32.9 | 100.0 | 5 0 0 |
| 2.666 | 33.6 | 35.9 | 3 2 0 |
| 2.585 | 34.7 | 34.9 | 3 0 2 |
| 2.276 | 39.6 | 60.4 | 0 2 2 |
| 1.428 | 65.4 | 25.4 | 2 4 2 |



No. 2
The following is a theoretical PXRD pattern of CuTeAuN2. It was derived from a PBE-relaxed structure, using copper Kα.
Neutral-atom scattering factors, no anomalous dispersion.

Atomic structure:
Cell: 3.8867 3.8867 5.9992 Å, 90.00 90.00 90.00°
Space group P4/mmm (No. 123)
Unique sites:
Cu1 0.0000 0.0000 0.0000
Te1 0.0000 0.0000 0.5000
Au1 0.5000 0.5000 0.5000
N1 0.0000 0.5000 0.0000

Top 10 peaks for 2θ = 10–90°, in order of rising 2θ:
| d_spacing | 2θ/deg | I_rel | hkl |
| --- | --- | --- | --- |
| 5.999 | 14.8 | 100.0 | 0 0 1 |
| 3.262 | 27.3 | 40.7 | 1 0 1 |
| 3.000 | 29.8 | 71.2 | 0 0 2 |
| 2.748 | 32.6 | 84.3 | 1 1 0 |
| 2.499 | 35.9 | 76.6 | 1 1 1 |
| 2.026 | 44.7 | 71.5 | 1 1 2 |
| 1.943 | 46.7 | 40.2 | 2 0 0 |
| 1.849 | 49.3 | 21.5 | 2 0 1 |
| 1.631 | 56.4 | 45.2 | 2 0 2 |
| 1.137 | 85.4 | 23.1 | 3 1 2 |